Structure and computed PXRD pattern of CsLiCuI3 (a cell relaxed with GGA-PBE; Cu Kα X-rays).
Peak positions follow from Bragg's law for the DFT cell and can differ from measured ones.

Structural model:
abc: 9.2152 9.2152 8.1396
angles: 102.93 102.93 54.98
Element x y z (fractional)
Cs: 0.2266 0.2266 0.2141
Cs: 0.7734 0.7734 0.7859
Li: 0.4555 0.4555 0.7608
Li: 0.5445 0.5445 0.2392
Cu: 0.2336 0.7664 0.5000
Cu: 0.7664 0.2336 0.5000
I: 0.1857 0.6910 0.1983
I: 0.2911 0.2911 0.7102
I: 0.3090 0.8143 0.8017
I: 0.6910 0.1857 0.1983
I: 0.7089 0.7089 0.2898
I: 0.8143 0.3090 0.8017

The 6 most intense peaks (10 to 90 degrees two-theta), by angle:
2θ 22.5, intensity 70.8
2θ 22.6, intensity 32.8
2θ 23.8, intensity 100.0
2θ 25.1, intensity 29.3
2θ 30.9, intensity 39.8
2θ 39.4, intensity 29.0